Theoretical powder diffractogram
Compound: TlSb4Pd15
Radiation: Cu Ka
Structure: a structure optimized by DFT (PBE)

Cell and atoms:
a b c (Å): 4.0804 4.0804 20.1309
angles (deg): 90.00 90.00 90.00
Fractional positions:
Tl 0.0000 0.0000 0.0000
Sb 0.0000 0.0000 0.1980
Sb 0.0000 0.0000 0.3997
Sb 0.0000 0.0000 0.6003
Sb 0.0000 0.0000 0.8020
Pd 0.0000 0.5000 0.1035
Pd 0.0000 0.5000 0.3012
Pd 0.0000 0.5000 0.5000
Pd 0.0000 0.5000 0.6988
Pd 0.0000 0.5000 0.8965
Pd 0.5000 0.0000 0.1035
Pd 0.5000 0.0000 0.3012
Pd 0.5000 0.0000 0.5000
Pd 0.5000 0.0000 0.6988
Pd 0.5000 0.0000 0.8965
Pd 0.5000 0.5000 0.0000
Pd 0.5000 0.5000 0.2036
Pd 0.5000 0.5000 0.4008
Pd 0.5000 0.5000 0.5992
Pd 0.5000 0.5000 0.7964

Peak list (6 most intense, 10° ≤ 2θ ≤ 80°, low angle first)
| 2theta | intensity |
| --- | --- |
| 38.38 | 100 |
| 44.40 | 33 |
| 45.03 | 16 |
| 65.09 | 20 |
| 77.72 | 25 |
| 78.62 | 12 |

Theoretical powder diffractogram
Compound: Dy2AlH
Radiation: Cu Ka
Structure: a structure optimized by DFT (PBE)

Cell and atoms:
a b c (Å): 7.6780 7.6780 7.6780
angles (deg): 26.83 26.83 26.83
Fractional positions:
Dy 0.2299 0.2299 0.2299
Dy 0.7701 0.7701 0.7701
Al 0.0000 0.0000 0.0000
H 0.5000 0.5000 0.5000

Peak list (6 most intense, 10° ≤ 2θ ≤ 80°, low angle first)
| 2theta | intensity |
| --- | --- |
| 11.96 | 30 |
| 24.06 | 30 |
| 30.06 | 100 |
| 33.22 | 93 |
| 35.43 | 38 |
| 51.28 | 35 |

Theoretical powder diffractogram
Compound: Dy2TcH6
Radiation: Cu Ka
Structure: a structure optimized by DFT (PBE)

Cell and atoms:
a b c (Å): 5.0134 5.0134 5.0134
angles (deg): 60.00 60.00 60.00
Fractional positions:
Dy 0.2500 0.2500 0.2500
Dy 0.7500 0.7500 0.7500
Tc 0.0000 0.0000 0.0000
H 0.2515 0.2515 0.7485
H 0.2515 0.7485 0.2515
H 0.2515 0.7485 0.7485
H 0.7485 0.2515 0.2515
H 0.7485 0.2515 0.7485
H 0.7485 0.7485 0.2515

Peak list (6 most intense, 10° ≤ 2θ ≤ 80°, low angle first)
| 2theta | intensity |
| --- | --- |
| 21.71 | 14 |
| 25.12 | 33 |
| 35.82 | 100 |
| 51.56 | 18 |
| 58.19 | 14 |
| 64.37 | 36 |

Theoretical powder diffractogram
Compound: RbTlBiPb2
Radiation: Cu Ka
Structure: a structure optimized by DFT (PBE)

Cell and atoms:
a b c (Å): 8.1624 8.1624 8.1624
angles (deg): 144.64 141.67 53.13
Fractional positions:
Rb 0.0000 0.0000 0.0000
Tl 0.3831 0.3831 0.0000
Bi 0.2370 0.7370 0.5000
Pb 0.6113 0.6113 0.0000
Pb 0.7520 0.2520 0.5000

Peak list (6 most intense, 10° ≤ 2θ ≤ 80°, low angle first)
| 2theta | intensity |
| --- | --- |
| 12.12 | 36 |
| 27.38 | 100 |
| 33.44 | 40 |
| 34.81 | 89 |
| 34.99 | 26 |
| 36.24 | 33 |